(1)
The following is a theoretical powder XRD pattern of Li2V3FeO8. It was derived from DFT lattice parameters and positions (PBE+U), using a wavelength of 1.5418 Å.
Neutral-atom scattering factors, no anomalous dispersion.

The 10 most intense peaks (2θ = 10–90°), in order of rising 2θ:
- d 4.805, 18.46 deg, I 88
- d 4.538, 19.56 deg, I 100
- d 4.503, 19.72 deg, I 66
- d 2.718, 32.96 deg, I 61
- d 2.515, 35.69 deg, I 62
- d 2.486, 36.13 deg, I 51
- d 2.269, 39.73 deg, I 47
- d 2.006, 45.19 deg, I 61
- d 1.540, 60.08 deg, I 51
- d 1.476, 62.97 deg, I 43

Cell and atoms:
Lattice parameters (Å, degrees): 5.905 5.905 9.611 90.00 90.00 119.34
Element x y z (fractional)
Li 0.003 0.997 0.500
Li 0.334 0.666 0.101
Li 0.666 0.334 0.601
Li 0.997 0.003 0.000
V 0.165 0.341 0.780
V 0.171 0.829 0.785
V 0.341 0.165 0.280
V 0.659 0.835 0.780
V 0.829 0.171 0.285
V 0.835 0.659 0.280
Fe 0.339 0.661 0.503
Fe 0.661 0.339 0.003
O 0.004 0.996 0.185
O 0.039 0.509 0.658
O 0.167 0.833 0.393
O 0.170 0.323 0.391
O 0.323 0.170 0.891
O 0.343 0.657 0.895
O 0.481 0.519 0.658
O 0.491 0.961 0.658
O 0.509 0.039 0.158
O 0.519 0.481 0.158
O 0.657 0.343 0.395
O 0.677 0.830 0.391
O 0.830 0.677 0.891
O 0.833 0.167 0.893
O 0.961 0.491 0.158
O 0.996 0.004 0.685

(2)
The following is a theoretical powder XRD pattern of Li3VFe4O8. It was derived from DFT lattice parameters and positions (PBE+U), using a wavelength of 1.5418 Å.
Neutral-atom scattering factors, no anomalous dispersion.

The 10 most intense peaks (2θ = 10–90°), in order of rising 2θ:
- d 4.876, 18.20 deg, I 89
- d 4.240, 20.95 deg, I 15
- d 2.558, 35.07 deg, I 26
- d 2.547, 35.24 deg, I 16
- d 2.445, 36.76 deg, I 37
- d 2.120, 42.65 deg, I 100
- d 2.106, 42.95 deg, I 49
- d 1.496, 62.02 deg, I 41
- d 1.492, 62.22 deg, I 27
- d 1.223, 78.19 deg, I 19

Cell and atoms:
Lattice parameters (Å, degrees): 5.968 5.968 5.987 119.92 119.92 60.42
Element x y z (fractional)
Li 0.000 0.000 0.000
Li 0.000 0.500 0.500
Li 0.500 0.000 0.500
V 0.500 0.500 0.500
Fe 0.000 0.000 0.500
Fe 0.000 0.500 0.000
Fe 0.500 0.000 0.000
Fe 0.500 0.500 0.000
O 0.250 0.250 0.745
O 0.250 0.740 0.740
O 0.260 0.750 0.260
O 0.263 0.263 0.247
O 0.737 0.737 0.753
O 0.740 0.250 0.740
O 0.750 0.260 0.260
O 0.750 0.750 0.255